Structure and simulated powder X-ray diffraction pattern of RbAsP2S8 (a structure optimized by DFT (GGA-PBE); Cu Ka).
Intensities are scaled so that the largest is 100.

```
RbAsP2S8
1.0
2.966 1.712 10.135
-2.966 1.712 10.135
0.000 -3.424 10.135
Rb As P S
1 1 2 8
direct
0.000 0.000 0.000 Rb
0.500 0.500 0.500 As
0.235 0.235 0.235 P
0.765 0.765 0.765 P
0.121 0.447 0.780 S
0.220 0.879 0.553 S
0.301 0.301 0.301 S
0.447 0.780 0.121 S
0.553 0.220 0.879 S
0.699 0.699 0.699 S
0.780 0.121 0.447 S
0.879 0.553 0.220 S
```

The 10 most intense peaks (2θ = 5–70°), by angle:
two_theta  Rel. int.
8.73  24
20.87  100
26.38  18
30.13  25
31.43  37
35.06  47
36.94  24
47.18  22
48.39  20
53.52  28